Simulated XRD peak list
Compound: K6Na3AlSb4
Radiation: Cu Kα X-rays
Structure: a cell relaxed with GGA-PBE

Cell: 10.2887 10.2887 10.5551 Å, 90.00 90.00 120.00°
Fractional coordinates of all 28 atoms:
K 0.2071 0.4142 0.0421
K 0.2071 0.4142 0.4579
K 0.2071 0.7929 0.0421
K 0.2071 0.7929 0.4579
K 0.4142 0.2071 0.5421
K 0.4142 0.2071 0.9579
K 0.5858 0.7929 0.0421
K 0.5858 0.7929 0.4579
K 0.7929 0.2071 0.5421
K 0.7929 0.2071 0.9579
K 0.7929 0.5858 0.5421
K 0.7929 0.5858 0.9579
Na 0.1163 0.2326 0.7500
Na 0.1163 0.8837 0.7500
Na 0.2326 0.1163 0.2500
Na 0.7674 0.8837 0.7500
Na 0.8837 0.1163 0.2500
Na 0.8837 0.7674 0.2500
Al 0.3333 0.6667 0.7500
Al 0.6667 0.3333 0.2500
Sb 0.0000 0.0000 0.0000
Sb 0.0000 0.0000 0.5000
Sb 0.0373 0.5187 0.7500
Sb 0.4813 0.5187 0.7500
Sb 0.4813 0.9627 0.7500
Sb 0.5187 0.0373 0.2500
Sb 0.5187 0.4813 0.2500
Sb 0.9627 0.4813 0.2500

Most intense lines, 2θ = 15–90°, low angle first:
19.55 deg, 4.541 Å, intensity 39, hkl 1 0 2
19.93 deg, 4.455 Å, intensity 53, hkl 2 0 0
24.16 deg, 3.684 Å, intensity 18, hkl 1 1 2
26.18 deg, 3.404 Å, intensity 40, hkl 2 0 2
31.29 deg, 2.859 Å, intensity 25, hkl 3 0 1
31.51 deg, 2.839 Å, intensity 100, hkl 2 1 2
33.97 deg, 2.639 Å, intensity 21, hkl 0 0 4
34.88 deg, 2.572 Å, intensity 37, hkl 2 2 0
39.70 deg, 2.270 Å, intensity 26, hkl 2 0 4
49.49 deg, 1.842 Å, intensity 22, hkl 2 2 4
51.72 deg, 1.767 Å, intensity 18, hkl 3 2 3
54.34 deg, 1.688 Å, intensity 17, hkl 5 0 2